The following is a computed powder X-ray diffraction pattern of AcNi6P3. It was derived from DFT lattice parameters and positions (PBE), using copper Kα.
Lines closer than 0.1° are merged.

Peak list (10 most intense, 2θ from 10° to 90°, by angle)
two_theta  Rel. int.
18.72  52.4
24.65  56.3
31.96  76.1
32.44  100.0
33.31  58.6
35.50  29.9
36.94  38.0
50.12  37.8
50.55  31.9
51.03  39.1

Crystal structure
Cell lengths 6.6601, 6.5861, 9.5108 Å; angles 90.00, 130.59, 90.00 degrees
Element x y z (fractional)
Ac  0.0000  0.0000  0.0000
Ac  0.0000  0.5000  0.5000
Ni  0.1585  0.0429  0.4781
Ni  0.1585  0.4571  0.9781
Ni  0.4552  0.1790  0.0060
Ni  0.4552  0.3210  0.5060
Ni  0.4822  0.2014  0.2794
Ni  0.4822  0.2986  0.7794
Ni  0.5178  0.7014  0.2206
Ni  0.5178  0.7986  0.7206
Ni  0.5448  0.6790  0.4940
Ni  0.5448  0.8210  0.9940
Ni  0.8415  0.5429  0.0219
Ni  0.8415  0.9571  0.5219
P  0.2644  0.0041  0.7483
P  0.2644  0.4959  0.2483
P  0.5000  0.0000  0.5000
P  0.5000  0.5000  0.0000
P  0.7356  0.5041  0.7517
P  0.7356  0.9959  0.2517